This entry pairs a crystal structure of Ac2Mg3Pb4 with its computed powder diffraction line list. Radiation: Cu Kα X-rays. Structure: a structure optimized by DFT (GGA-PBE).
Kinematic intensities with the Lorentz-polarization factor, no thermal factor.

Cell and atoms:
```
Ac2Mg3Pb4
1.0
3.4007 -8.7595 0.0000
3.4007 8.7595 0.0000
0.0000 0.0000 8.9940
Ac Mg Pb
4 6 8
Cartesian
3.4007 6.7491 8.2311
3.4007 2.0104 3.7341
3.4007 -2.0104 5.2599
3.4007 -6.7491 0.7629
0.0000 0.0000 4.4970
1.7003 3.7750 6.7455
1.7003 -3.7750 2.2485
3.4007 0.0000 0.0000
5.1010 3.7750 6.7455
5.1010 -3.7750 2.2485
3.4007 5.5129 4.9061
1.7003 0.8305 6.7455
1.7003 -0.8305 2.2485
3.4007 3.2465 0.4091
3.4007 -3.2465 8.5848
5.1010 0.8305 6.7455
5.1010 -0.8305 2.2485
3.4007 -5.5129 4.0878
```

The 12 most intense peaks (2θ = 10–90°), sorted by position:
| 2theta | I/Imax |
| --- | --- |
| 22.2 | 46 |
| 22.6 | 32 |
| 28.1 | 28 |
| 28.3 | 37 |
| 29.9 | 63 |
| 30.4 | 100 |
| 31.5 | 74 |
| 32.2 | 28 |
| 33.0 | 89 |
| 33.4 | 28 |
| 48.9 | 27 |
| 63.8 | 27 |